Record 1
Diffraction record for Ta2CrNO5. The X-ray diffraction stick pattern is calculated, not measured: it uses the GGA+U geometry in the Materials Project and Cu Kα.

Atomic structure:
Unit cell a=9.260 b=4.751 c=4.755 alpha=90.00 beta=90.00 gamma=90.00
Space group Pmn2_1 (No. 31)
Asymmetric unit:
Ta 0.162 0.244 0.000 (multiplicity 4)
Cr 0.000 0.749 0.480 (multiplicity 2)
N 0.000 0.052 0.177 (multiplicity 2)
O 0.000 0.443 0.787 (multiplicity 2)
O 0.169 0.552 0.283 (multiplicity 4)
O 0.170 0.946 0.677 (multiplicity 4)

Top 12 peaks for 2θ = 10–90°, in order of falling intensity:
2θ (°)  I (rel.)
26.5  100
34.7  80
52.3  64
21.0  34
37.9  25
66.3  18
54.6  16
61.7  16
66.7  14
79.0  14
43.7  11
85.4  8

---

Record 2
Diffraction record for ReW2O8. The X-ray diffraction stick pattern is calculated, not measured: it uses the GGA+U geometry in the Materials Project and Cu Kα.

Atomic structure:
Unit cell a=5.090 b=5.817 c=10.661 alpha=90.00 beta=118.25 gamma=90.00
Space group P2/c (No. 13)
Asymmetric unit:
Re 0.000 0.149 0.250 (multiplicity 2)
W 0.261 0.333 0.996 (multiplicity 4)
O 0.019 0.097 0.881 (multiplicity 4)
O 0.027 0.389 0.108 (multiplicity 4)
O 0.440 0.157 0.364 (multiplicity 4)
O 0.454 0.393 0.888 (multiplicity 4)

Top 12 peaks for 2θ = 10–90°, in order of falling intensity:
2θ (°)  I (rel.)
30.1  100
30.2  98
24.4  74
19.9  55
35.5  55
53.2  48
17.9  37
35.3  37
63.5  37
51.0  33
23.2  28
53.3  27